Record 1
Computed powder X-ray diffraction pattern
Compound: Pm5TlSe8
Radiation: Cu Kα (weighted mean of Kα1 and Kα2)
Structure: the GGA-PBE geometry in Alexandria

abc: 8.773 8.773 8.773
angles: 60.00 60.00 60.00
Sites, in units of the cell vectors:
1 Pm 0.000 0.000 0.000
2 Pm 0.379 0.379 0.379
3 Pm 0.379 0.379 0.863
4 Pm 0.379 0.863 0.379
5 Pm 0.863 0.379 0.379
6 Tl 0.750 0.750 0.750
7 Se 0.133 0.133 0.133
8 Se 0.133 0.133 0.602
9 Se 0.133 0.602 0.133
10 Se 0.168 0.611 0.611
11 Se 0.602 0.133 0.133
12 Se 0.611 0.168 0.611
13 Se 0.611 0.611 0.168
14 Se 0.611 0.611 0.611

Top 8 peaks for 2θ = 5–70°, sorted by position:
20.25 deg, I = 35
23.79 deg, I = 98
28.78 deg, I = 42
37.68 deg, I = 58
41.16 deg, I = 100
48.09 deg, I = 16
57.02 deg, I = 25
65.11 deg, I = 17

Record 2
Computed powder X-ray diffraction pattern
Compound: NpFeAs3
Radiation: Cu Kα (weighted mean of Kα1 and Kα2)
Structure: the GGA-PBE geometry in Alexandria

abc: 11.771 5.569 5.473
angles: 90.00 90.00 90.00
Sites, in units of the cell vectors:
1 Np 0.194 0.008 0.250
2 Np 0.194 0.492 0.750
3 Np 0.806 0.508 0.250
4 Np 0.806 0.992 0.750
5 Fe 0.411 0.750 0.000
6 Fe 0.411 0.750 0.500
7 Fe 0.589 0.250 0.000
8 Fe 0.589 0.250 0.500
9 As 0.003 0.750 0.000
10 As 0.003 0.750 0.500
11 As 0.282 0.507 0.250
12 As 0.282 0.993 0.750
13 As 0.438 0.102 0.250
14 As 0.438 0.398 0.750
15 As 0.562 0.602 0.250
16 As 0.562 0.898 0.750
17 As 0.718 0.007 0.250
18 As 0.718 0.493 0.750
19 As 0.997 0.250 0.000
20 As 0.997 0.250 0.500

Top 8 peaks for 2θ = 5–70°, sorted by position:
24.02 deg, I = 60
27.42 deg, I = 30
35.67 deg, I = 47
36.20 deg, I = 40
38.29 deg, I = 100
39.70 deg, I = 23
40.17 deg, I = 22
46.53 deg, I = 43

Record 3
Computed powder X-ray diffraction pattern
Compound: PtS2Cl2
Radiation: Cu Kα (weighted mean of Kα1 and Kα2)
Structure: the GGA-PBE geometry in Alexandria

abc: 6.709 6.709 7.209
angles: 102.66 102.66 103.33
Sites, in units of the cell vectors:
1 Pt 0.161 0.839 0.000
2 Pt 0.839 0.161 0.000
3 S 0.117 0.117 0.230
4 S 0.274 0.274 0.075
5 S 0.726 0.726 0.925
6 S 0.883 0.883 0.770
7 Cl 0.247 0.613 0.754
8 Cl 0.387 0.753 0.246
9 Cl 0.613 0.247 0.754
10 Cl 0.753 0.387 0.246

Top 8 peaks for 2θ = 5–70°, sorted by position:
13.13 deg, I = 100
14.15 deg, I = 28
16.36 deg, I = 37
21.96 deg, I = 43
22.84 deg, I = 23
32.68 deg, I = 28
35.78 deg, I = 20
41.64 deg, I = 21

Record 4
Computed powder X-ray diffraction pattern
Compound: AlCdInO4
Radiation: Cu Kα (weighted mean of Kα1 and Kα2)
Structure: the GGA-PBE geometry in Alexandria

abc: 5.641 5.641 6.539
angles: 90.00 90.00 114.62
Sites, in units of the cell vectors:
1 Al 0.146 0.854 0.750
2 Al 0.854 0.146 0.250
3 Cd 0.500 0.500 0.000
4 Cd 0.500 0.500 0.500
5 In 0.158 0.842 0.250
6 In 0.842 0.158 0.750
7 O 0.203 0.242 0.250
8 O 0.242 0.203 0.750
9 O 0.255 0.745 0.531
10 O 0.255 0.745 0.969
11 O 0.745 0.255 0.031
12 O 0.745 0.255 0.469
13 O 0.758 0.797 0.250
14 O 0.797 0.758 0.750

Top 8 peaks for 2θ = 5–70°, sorted by position:
22.03 deg, I = 30
29.31 deg, I = 55
31.86 deg, I = 78
32.48 deg, I = 100
44.92 deg, I = 28
47.32 deg, I = 20
53.61 deg, I = 20
56.64 deg, I = 34

Record 5
Computed powder X-ray diffraction pattern
Compound: Ac4Bi3H4
Radiation: Cu Kα (weighted mean of Kα1 and Kα2)
Structure: the GGA-PBE geometry in Alexandria

abc: 7.116 7.116 7.116
angles: 109.47 109.47 109.47
Sites, in units of the cell vectors:
1 Ac 0.000 0.000 0.369
2 Ac 0.000 0.369 0.000
3 Ac 0.369 0.000 0.000
4 Ac 0.631 0.631 0.631
5 Bi 0.000 0.500 0.500
6 Bi 0.500 0.000 0.500
7 Bi 0.500 0.500 0.000
8 H 0.000 0.000 0.758
9 H 0.000 0.758 0.000
10 H 0.242 0.242 0.242
11 H 0.758 0.000 0.000

Top 8 peaks for 2θ = 5–70°, sorted by position:
26.57 deg, I = 100
30.78 deg, I = 96
34.52 deg, I = 39
46.91 deg, I = 44
49.62 deg, I = 22
52.22 deg, I = 24
54.73 deg, I = 21
68.52 deg, I = 24

Record 6
Computed powder X-ray diffraction pattern
Compound: Hf6GaBi
Radiation: Cu Kα (weighted mean of Kα1 and Kα2)
Structure: the GGA-PBE geometry in Alexandria

abc: 6.379 6.379 6.095
angles: 103.51 103.51 121.35
Sites, in units of the cell vectors:
1 Hf 0.220 0.766 0.738
2 Hf 0.234 0.780 0.262
3 Hf 0.485 0.485 0.741
4 Hf 0.515 0.515 0.259
5 Hf 0.766 0.220 0.738
6 Hf 0.780 0.234 0.262
7 Ga 0.000 0.000 0.500
8 Bi 0.000 0.000 0.000

Top 8 peaks for 2θ = 5–70°, sorted by position:
30.41 deg, I = 39
32.19 deg, I = 88
32.61 deg, I = 100
33.46 deg, I = 31
33.82 deg, I = 31
37.26 deg, I = 28
38.23 deg, I = 64
46.48 deg, I = 63